Structure and theoretical powder diffraction line list of Th4PdRu2 (a structure optimized by DFT (PBE); λ = 1.5418 Å (Cu Kα)).
Kinematic intensities with the Lorentz-polarization factor, no thermal factor.

Principal peaks in the range 5° ≤ 2θ ≤ 70°, in order of falling intensity:
d_spacing, I (rel.), hkl
2.846, 1000, 3 3 1
2.859, 791, 2 4 0
2.746, 769, 1 1 3
3.125, 714, 2 2 2
2.408, 508, 5 1 1
2.385, 493, 2 4 2
1.724, 319, 4 2 4
2.347, 251, 1 3 3
1.769, 251, 7 1 1
1.892, 246, 5 1 3

Structural model:
Cell: 12.778 12.796 8.647 Å, 90.00 90.00 90.00°
Space group Fdd2 (No. 43)
Inequivalent atoms, fractional coordinates:
Th: 0.066 0.377 0.000
Th: 0.122 0.068 0.154
Pd: 0.000 0.000 0.827
Ru: 0.054 0.303 0.702